Record 1
The following is a simulated XRD peak list of La6Tb16Sm7. It was derived from the PBE geometry in Alexandria, using λ = 1.5418 Å (Cu Kα).

Atomic structure:
a b c (Å): 15.856 15.856 15.856
angles (deg): 90.00 90.00 90.00
Space group Fm-3m (No. 225)
One atom of each set of equivalent atoms:
1 La 0.000 0.000 0.222 (multiplicity 24)
2 Tb 0.115 0.115 0.385 (multiplicity 32)
3 Tb 0.152 0.152 0.152 (multiplicity 32)
4 Sm 0.000 0.000 0.000 (multiplicity 4)
5 Sm 0.000 0.250 0.250 (multiplicity 24)

Peak list (6 most intense, 2θ = 10–90°, in order of rising 2θ)
hkl 3 3 3, 2θ = 29.27°, I = 31
hkl 4 4 0, 2θ = 31.93°, I = 100
hkl 5 5 3, 2θ = 43.86°, I = 12
hkl 8 0 0, 2θ = 45.78°, I = 12
hkl 8 4 4, 2θ = 56.90°, I = 21
hkl 9 5 1, 2θ = 60.39°, I = 16



Record 2
The following is a simulated XRD peak list of UPa3N6. It was derived from the PBE geometry in Alexandria, using λ = 1.5418 Å (Cu Kα).

Atomic structure:
a b c (Å): 5.8188 5.8188 11.0739
angles (deg): 90.00 90.00 120.00
Space group P6_322 (No. 182)
One atom of each set of equivalent atoms:
1 U 0.3333 0.6667 0.2500 (multiplicity 2)
2 Pa 0.0000 0.0000 0.0000 (multiplicity 2)
3 Pa 0.3333 0.6667 0.5512 (multiplicity 4)
4 N 0.0491 0.3659 0.1174 (multiplicity 12)

Peak list (6 most intense, 2θ = 10–90°, in order of rising 2θ)
hkl 0 0 2, 2θ = 16.01°, I = 29
hkl 1 0 3, 2θ = 30.01°, I = 73
hkl 1 1 0, 2θ = 30.73°, I = 100
hkl 2 0 3, 2θ = 43.49°, I = 30
hkl 1 1 4, 2θ = 45.21°, I = 36
hkl 2 1 3, 2θ = 54.19°, I = 31



Record 3
The following is a simulated XRD peak list of Ag2Pd5Au6. It was derived from the PBE geometry in Alexandria, using λ = 1.5418 Å (Cu Kα).

Atomic structure:
a b c (Å): 9.550 16.714 2.837
angles (deg): 90.00 90.00 90.00
Space group Pbam (No. 55)
One atom of each set of equivalent atoms:
1 Ag 0.166 0.214 0.000 (multiplicity 4)
2 Pd 0.000 0.500 0.500 (multiplicity 2)
3 Pd 0.087 0.775 0.500 (multiplicity 4)
4 Pd 0.207 0.048 0.500 (multiplicity 4)
5 Au 0.051 0.920 0.000 (multiplicity 4)
6 Au 0.077 0.633 0.000 (multiplicity 4)
7 Au 0.191 0.378 0.500 (multiplicity 4)

Peak list (6 most intense, 2θ = 10–90°, in order of rising 2θ)
hkl 2 0 1, 2θ = 36.83°, I = 41
hkl 4 1 0, 2θ = 38.07°, I = 72
hkl 1 7 0, 2θ = 38.88°, I = 72
hkl 2 3 1, 2θ = 40.37°, I = 100
hkl 2 4 1, 2θ = 42.93°, I = 57
hkl 3 6 0, 2θ = 43.15°, I = 32



Record 4
The following is a simulated XRD peak list of Zn5Ir. It was derived from the PBE geometry in Alexandria, using λ = 1.5418 Å (Cu Kα).

Atomic structure:
a b c (Å): 3.889 8.122 5.452
angles (deg): 90.00 90.07 90.00
Space group P2_1/m (No. 11)
One atom of each set of equivalent atoms:
1 Zn 0.247 0.086 0.385 (multiplicity 4)
2 Zn 0.249 0.085 0.894 (multiplicity 4)
3 Zn 0.251 0.750 0.350 (multiplicity 2)
4 Ir 0.255 0.750 0.850 (multiplicity 2)

Peak list (6 most intense, 2θ = 10–90°, in order of rising 2θ)
hkl 1 0 2, 2θ = 40.41°, I = 95
hkl 1 3 0, 2θ = 40.60°, I = 100
hkl 2 0 0, 2θ = 46.72°, I = 33
hkl 0 3 2, 2θ = 47.32°, I = 60
hkl 2 3 2, 2θ = 68.69°, I = 38
hkl 1 6 2, 2θ = 83.52°, I = 22



Record 5
The following is a simulated XRD peak list of Ti4Al4Ir. It was derived from the PBE geometry in Alexandria, using λ = 1.5418 Å (Cu Kα).

Atomic structure:
a b c (Å): 5.534 5.534 10.079
angles (deg): 90.00 90.00 90.00
Space group P4_2/nmc (No. 137, origin choice 2)
One atom of each set of equivalent atoms:
1 Ti 0.025 0.250 0.187 (multiplicity 8)
2 Al 0.008 0.750 0.501 (multiplicity 8)
3 Ir 0.250 0.750 0.250 (multiplicity 2)

Peak list (6 most intense, 2θ = 10–90°, in order of rising 2θ)
hkl 0 0 2, 2θ = 17.60°, I = 45
hkl 1 0 1, 2θ = 18.29°, I = 44
hkl 1 1 2, 2θ = 28.89°, I = 32
hkl 2 1 1, 2θ = 37.42°, I = 100
hkl 2 0 3, 2θ = 42.32°, I = 33
hkl 2 1 3, 2θ = 45.52°, I = 36



Record 6
The following is a simulated XRD peak list of TaReIO2. It was derived from the PBE geometry in Alexandria, using λ = 1.5418 Å (Cu Kα).

Atomic structure:
a b c (Å): 3.920 3.920 6.292
angles (deg): 90.00 90.00 90.00
Space group P4/mmm (No. 123)
One atom of each set of equivalent atoms:
1 Ta 0.000 0.000 0.000 (multiplicity 1)
2 Re 0.500 0.500 0.500 (multiplicity 1)
3 I 0.000 0.000 0.500 (multiplicity 1)
4 O 0.000 0.500 0.000 (multiplicity 2)

Peak list (6 most intense, 2θ = 10–90°, in order of rising 2θ)
hkl 1 0 1, 2θ = 26.80°, I = 87
hkl 0 0 2, 2θ = 28.37°, I = 93
hkl 1 1 0, 2θ = 32.30°, I = 100
hkl 1 1 2, 2θ = 43.52°, I = 90
hkl 2 0 0, 2θ = 46.33°, I = 48
hkl 2 0 2, 2θ = 55.22°, I = 57